Entry 1:
CdSnBi4Se8: simulated powder X-ray diffraction pattern (λ = 1.5418 Å (Cu Kα)), based on a cell relaxed with GGA-PBE.
Lines closer than 0.1° are merged.

Atomic structure:
a = 7.291 Å, b = 7.291 Å, c = 15.626 Å
α = 115.10°, β = 115.10°, γ = 33.45°
Fractional coordinates of all 14 atoms:
Cd  0.000  0.000  0.000
Sn  0.500  0.500  0.500
Bi  0.150  0.150  0.368
Bi  0.213  0.213  0.864
Bi  0.787  0.787  0.136
Bi  0.850  0.850  0.632
Se  0.169  0.169  0.176
Se  0.169  0.169  0.560
Se  0.379  0.379  0.046
Se  0.493  0.493  0.306
Se  0.507  0.507  0.694
Se  0.621  0.621  0.954
Se  0.831  0.831  0.440
Se  0.831  0.831  0.824

Principal peaks in the range 2θ from 5° to 70°, by angle:
- 14.2°, d = 6.249 Å, intensity 272
- 17.9°, d = 4.945 Å, intensity 264
- 22.9°, d = 3.880 Å, intensity 604
- 24.1°, d = 3.690 Å, intensity 254
- 28.8°, d = 3.098 Å, intensity 851
- 30.2°, d = 2.958 Å, intensity 1000
- 32.9°, d = 2.721 Å, intensity 325
- 42.0°, d = 2.151 Å, intensity 446
- 43.1°, d = 2.098 Å, intensity 372
- 45.0°, d = 2.014 Å, intensity 288

***

Entry 2:
Cd2TcBi: simulated powder X-ray diffraction pattern (λ = 1.5418 Å (Cu Kα)), based on a cell relaxed with GGA-PBE.
Lines closer than 0.1° are merged.

Atomic structure:
a = 6.948 Å, b = 6.948 Å, c = 6.948 Å
α = 90.00°, β = 90.00°, γ = 90.00°
Fractional coordinates of all 16 atoms:
Cd  0.000  0.000  0.000
Cd  0.000  0.500  0.500
Cd  0.250  0.250  0.250
Cd  0.250  0.750  0.750
Cd  0.500  0.000  0.500
Cd  0.500  0.500  0.000
Cd  0.750  0.250  0.750
Cd  0.750  0.750  0.250
Tc  0.250  0.250  0.750
Tc  0.250  0.750  0.250
Tc  0.750  0.250  0.250
Tc  0.750  0.750  0.750
Bi  0.000  0.000  0.500
Bi  0.000  0.500  0.000
Bi  0.500  0.000  0.000
Bi  0.500  0.500  0.500

Principal peaks in the range 2θ from 5° to 70°, by angle:
- 22.2°, d = 4.012 Å, intensity 66
- 25.6°, d = 3.474 Å, intensity 46
- 36.6°, d = 2.457 Å, intensity 1000
- 43.2°, d = 2.095 Å, intensity 40
- 45.2°, d = 2.006 Å, intensity 15
- 52.7°, d = 1.737 Å, intensity 173
- 57.8°, d = 1.594 Å, intensity 18
- 59.5°, d = 1.554 Å, intensity 21
- 65.8°, d = 1.418 Å, intensity 351

***

Entry 3:
CdBi2Te: simulated powder X-ray diffraction pattern (λ = 1.5418 Å (Cu Kα)), based on a cell relaxed with GGA-PBE.
Lines closer than 0.1° are merged.

Atomic structure:
a = 7.773 Å, b = 7.773 Å, c = 7.773 Å
α = 90.00°, β = 90.00°, γ = 90.00°
Fractional coordinates of all 16 atoms:
Cd  0.000  0.000  0.000
Cd  0.000  0.500  0.500
Cd  0.500  0.000  0.500
Cd  0.500  0.500  0.000
Bi  0.000  0.000  0.500
Bi  0.000  0.500  0.000
Bi  0.250  0.250  0.250
Bi  0.250  0.750  0.750
Bi  0.500  0.000  0.000
Bi  0.500  0.500  0.500
Bi  0.750  0.250  0.750
Bi  0.750  0.750  0.250
Te  0.250  0.250  0.750
Te  0.250  0.750  0.250
Te  0.750  0.250  0.250
Te  0.750  0.750  0.750

Principal peaks in the range 2θ from 5° to 70°, by angle:
- 19.8°, d = 4.488 Å, intensity 75
- 32.6°, d = 2.748 Å, intensity 1000
- 38.4°, d = 2.344 Å, intensity 47
- 46.7°, d = 1.943 Å, intensity 185
- 51.2°, d = 1.783 Å, intensity 22
- 58.1°, d = 1.587 Å, intensity 387
- 62.0°, d = 1.496 Å, intensity 18
- 68.3°, d = 1.374 Å, intensity 120

***

Entry 4:
CoBiCl6: simulated powder X-ray diffraction pattern (λ = 1.5418 Å (Cu Kα)), based on a cell relaxed with GGA-PBE.
Lines closer than 0.1° are merged.

Atomic structure:
a = 6.517 Å, b = 11.286 Å, c = 6.339 Å
α = 90.00°, β = 110.02°, γ = 90.00°
Fractional coordinates of all 16 atoms:
Co  0.000  0.000  0.000
Co  0.500  0.500  0.000
Bi  0.000  0.668  0.000
Bi  0.500  0.168  0.000
Cl  0.219  0.000  0.767
Cl  0.227  0.149  0.237
Cl  0.227  0.852  0.236
Cl  0.273  0.352  0.764
Cl  0.273  0.649  0.763
Cl  0.281  0.500  0.233
Cl  0.719  0.500  0.767
Cl  0.727  0.352  0.236
Cl  0.727  0.649  0.237
Cl  0.773  0.149  0.763
Cl  0.773  0.852  0.764
Cl  0.781  0.000  0.233

Principal peaks in the range 2θ from 5° to 70°, by angle:
- 14.9°, d = 5.956 Å, intensity 834
- 15.7°, d = 5.643 Å, intensity 268
- 16.5°, d = 5.382 Å, intensity 495
- 18.6°, d = 4.771 Å, intensity 380
- 21.7°, d = 4.097 Å, intensity 269
- 27.8°, d = 3.205 Å, intensity 473
- 34.1°, d = 2.633 Å, intensity 1000
- 45.1°, d = 2.009 Å, intensity 275
- 48.4°, d = 1.881 Å, intensity 291
- 49.5°, d = 1.842 Å, intensity 288

***

Entry 5:
CoBiS2Cl: simulated powder X-ray diffraction pattern (λ = 1.5418 Å (Cu Kα)), based on a cell relaxed with GGA-PBE.
Lines closer than 0.1° are merged.

Atomic structure:
a = 8.747 Å, b = 3.715 Å, c = 12.062 Å
α = 90.00°, β = 90.00°, γ = 90.00°
Fractional coordinates of all 20 atoms:
Co  0.010  0.250  0.241
Co  0.490  0.750  0.741
Co  0.510  0.250  0.259
Co  0.990  0.750  0.759
Bi  0.227  0.250  0.971
Bi  0.273  0.750  0.471
Bi  0.727  0.250  0.529
Bi  0.773  0.750  0.029
S  0.046  0.750  0.126
S  0.245  0.750  0.810
S  0.255  0.250  0.310
S  0.454  0.250  0.626
S  0.546  0.750  0.374
S  0.745  0.750  0.690
S  0.755  0.250  0.190
S  0.954  0.250  0.874
Cl  0.047  0.250  0.623
Cl  0.453  0.750  0.123
Cl  0.547  0.250  0.877
Cl  0.953  0.750  0.377

Principal peaks in the range 2θ from 5° to 70°, by angle:
- 14.7°, d = 6.031 Å, intensity 343
- 17.9°, d = 4.965 Å, intensity 253
- 25.2°, d = 3.541 Å, intensity 978
- 27.1°, d = 3.290 Å, intensity 1000
- 32.8°, d = 2.729 Å, intensity 560
- 34.4°, d = 2.605 Å, intensity 856
- 40.0°, d = 2.253 Å, intensity 526
- 41.3°, d = 2.187 Å, intensity 233
- 49.6°, d = 1.836 Å, intensity 444
- 55.9°, d = 1.645 Å, intensity 227

***

Entry 6:
Cs2ZnBiCl6: simulated powder X-ray diffraction pattern (λ = 1.5418 Å (Cu Kα)), based on a cell relaxed with GGA-PBE.
Lines closer than 0.1° are merged.

Atomic structure:
a = 4.865 Å, b = 4.865 Å, c = 14.745 Å
α = 90.00°, β = 90.00°, γ = 90.00°
Fractional coordinates of all 10 atoms:
Cs  0.000  0.000  0.223
Cs  0.000  0.000  0.777
Zn  0.500  0.500  0.000
Bi  0.500  0.500  0.500
Cl  0.000  0.000  0.000
Cl  0.000  0.000  0.500
Cl  0.000  0.500  0.374
Cl  0.000  0.500  0.626
Cl  0.500  0.000  0.374
Cl  0.500  0.000  0.626

Principal peaks in the range 2θ from 5° to 70°, by angle:
- 6.0°, d = 14.745 Å, intensity 826
- 19.2°, d = 4.620 Å, intensity 209
- 21.9°, d = 4.060 Å, intensity 1000
- 24.1°, d = 3.686 Å, intensity 163
- 25.9°, d = 3.440 Å, intensity 357
- 31.8°, d = 2.818 Å, intensity 262
- 35.7°, d = 2.516 Å, intensity 854
- 37.0°, d = 2.432 Å, intensity 369
- 43.4°, d = 2.087 Å, intensity 348
- 65.8°, d = 1.420 Å, intensity 248

***

Entry 7:
Hg4BiS2Cl5: simulated powder X-ray diffraction pattern (λ = 1.5418 Å (Cu Kα)), based on a cell relaxed with GGA-PBE.
Lines closer than 0.1° are merged.

Atomic structure:
a = 8.179 Å, b = 10.640 Å, c = 8.964 Å
α = 90.00°, β = 112.71°, γ = 90.00°
Fractional coordinates of all 24 atoms:
Hg  0.003  0.000  0.015
Hg  0.308  0.751  0.017
Hg  0.426  0.501  0.329
Hg  0.451  0.987  0.355
Hg  0.549  0.487  0.645
Hg  0.574  0.001  0.671
Hg  0.692  0.251  0.983
Hg  0.997  0.500  0.985
Bi  0.002  0.751  0.508
Bi  0.998  0.251  0.492
S  0.304  0.522  0.026
S  0.308  0.979  0.052
S  0.692  0.479  0.948
S  0.696  0.022  0.974
Cl  0.003  0.002  0.431
Cl  0.095  0.714  0.256
Cl  0.097  0.276  0.231
Cl  0.342  0.243  0.690
Cl  0.357  0.756  0.709
Cl  0.643  0.256  0.291
Cl  0.658  0.743  0.310
Cl  0.903  0.776  0.769
Cl  0.905  0.214  0.744
Cl  0.997  0.502  0.569

Principal peaks in the range 2θ from 5° to 70°, by angle:
- 20.4°, d = 4.343 Å, intensity 224
- 20.9°, d = 4.258 Å, intensity 1000
- 21.8°, d = 4.078 Å, intensity 259
- 23.6°, d = 3.773 Å, intensity 190
- 25.2°, d = 3.538 Å, intensity 249
- 33.0°, d = 2.713 Å, intensity 206
- 33.7°, d = 2.660 Å, intensity 411
- 34.1°, d = 2.627 Å, intensity 245
- 36.3°, d = 2.477 Å, intensity 347
- 40.5°, d = 2.226 Å, intensity 190

***

Entry 8:
Hg3Bi2S2Cl8: simulated powder X-ray diffraction pattern (λ = 1.5418 Å (Cu Kα)), based on a cell relaxed with GGA-PBE.
Lines closer than 0.1° are merged.

Atomic structure:
a = 7.576 Å, b = 7.576 Å, c = 9.413 Å
α = 113.41°, β = 113.41°, γ = 59.51°
Fractional coordinates of all 15 atoms:
Hg  0.000  0.000  0.000
Hg  0.000  0.500  0.000
Hg  0.500  0.000  0.000
Bi  0.370  0.370  0.569
Bi  0.630  0.630  0.431
S  0.123  0.123  0.872
S  0.877  0.877  0.128
Cl  0.038  0.573  0.709
Cl  0.261  0.739  0.500
Cl  0.427  0.962  0.291
Cl  0.451  0.451  0.148
Cl  0.549  0.549  0.852
Cl  0.573  0.038  0.709
Cl  0.739  0.261  0.500
Cl  0.962  0.427  0.291

Principal peaks in the range 2θ from 5° to 70°, by angle:
- 15.3°, d = 5.782 Å, intensity 382
- 19.6°, d = 4.531 Å, intensity 1000
- 21.2°, d = 4.185 Å, intensity 536
- 25.9°, d = 3.438 Å, intensity 591
- 27.6°, d = 3.235 Å, intensity 460
- 28.2°, d = 3.163 Å, intensity 404
- 32.7°, d = 2.742 Å, intensity 452
- 36.9°, d = 2.435 Å, intensity 266
- 37.3°, d = 2.409 Å, intensity 515
- 39.8°, d = 2.268 Å, intensity 222